This entry pairs a crystal structure of Cs3GaF6 with its calculated powder X-ray diffraction pattern. Radiation: Cu Kα, 1.54184 Å. Structure: a structure optimized by DFT (GGA-PBE).
No peak broadening, texture or thermal motion is included.

Main lines, in order of falling intensity (15 to 90 degrees two-theta):
| 2θ (°) | intensity |
| --- | --- |
| 26.4 | 1000 |
| 46.5 | 379 |
| 37.6 | 313 |
| 74.2 | 229 |
| 61.3 | 217 |
| 54.3 | 190 |
| 86.3 | 108 |
| 67.9 | 59 |
| 32.4 | 50 |
| 41.1 | 34 |

Structure:
```
Cs3GaF6
1.0
0.0000 4.7813 4.7813
4.7813 0.0000 4.7813
4.7813 4.7813 0.0000
Cs Ga F
3 1 6
direct
0.0000 0.0000 0.0000 Cs
0.2500 0.2500 0.2500 Cs
0.7500 0.7500 0.7500 Cs
0.5000 0.5000 0.5000 Ga
0.2974 0.2974 0.7026 F
0.2974 0.7026 0.2974 F
0.2974 0.7026 0.7026 F
0.7026 0.2974 0.2974 F
0.7026 0.2974 0.7026 F
0.7026 0.7026 0.2974 F
```

---

This entry pairs a crystal structure of SiO2 with its calculated powder X-ray diffraction pattern. Radiation: Cu Kα, 1.54184 Å. Structure: a structure optimized by DFT (GGA-PBE).
No peak broadening, texture or thermal motion is included.

Main lines, in order of falling intensity (15 to 90 degrees two-theta):
| 2θ (°) | intensity |
| --- | --- |
| 19.8 | 1000 |
| 20.8 | 705 |
| 16.7 | 570 |
| 20.0 | 407 |
| 24.1 | 219 |
| 34.8 | 183 |
| 28.8 | 156 |
| 29.5 | 147 |
| 34.2 | 142 |
| 34.4 | 136 |

Structure:
```
SiO2
1.0
4.2724 -5.2095 0.0000
4.2724 5.2095 0.0000
0.0000 0.0000 8.8920
Si O
8 16
direct
0.0819 0.2848 0.0000 Si
0.1798 0.4534 0.6722 Si
0.2848 0.0819 0.5000 Si
0.4534 0.1798 0.1722 Si
0.5466 0.8202 0.6722 Si
0.7152 0.9181 0.0000 Si
0.8202 0.5466 0.1722 Si
0.9181 0.7152 0.5000 Si
0.0038 0.4661 0.0885 O
0.0694 0.9306 0.5318 O
0.0888 0.3290 0.8208 O
0.2739 0.3070 0.5589 O
0.3070 0.2739 0.0589 O
0.3290 0.0888 0.3208 O
0.3567 0.6433 0.7210 O
0.4661 0.0038 0.5885 O
0.5339 0.9962 0.0885 O
0.6433 0.3567 0.2210 O
0.6710 0.9112 0.8208 O
0.6930 0.7261 0.5589 O
0.7261 0.6930 0.0589 O
0.9112 0.6710 0.3208 O
0.9306 0.0694 0.0318 O
0.9962 0.5339 0.5885 O
```

---

This entry pairs a crystal structure of CaB3H7O9 with its calculated powder X-ray diffraction pattern. Radiation: Cu Kα, 1.54184 Å. Structure: a structure optimized by DFT (GGA-PBE).
No peak broadening, texture or thermal motion is included.

Main lines, in order of falling intensity (15 to 90 degrees two-theta):
| 2θ (°) | intensity |
| --- | --- |
| 28.0 | 1000 |
| 17.7 | 411 |
| 26.8 | 357 |
| 28.8 | 343 |
| 34.9 | 332 |
| 35.5 | 319 |
| 43.5 | 298 |
| 35.3 | 272 |
| 35.1 | 266 |
| 17.4 | 264 |

Structure:
```
CaB3H7O9
1.0
6.5221 0.0000 0.0000
1.3626 6.5325 0.0000
0.1014 0.4640 8.4194
Ca B H O
2 6 14 18
direct
0.2446 0.4886 0.1237 Ca
0.7554 0.5114 0.8763 Ca
0.1658 0.2122 0.8680 B
0.3007 0.5398 0.7646 B
0.4852 0.1838 0.7011 B
0.5148 0.8162 0.2989 B
0.6993 0.4602 0.2354 B
0.8342 0.7878 0.1320 B
0.0528 0.8732 0.2794 H
0.0615 0.3343 0.3962 H
0.1492 0.0428 0.0792 H
0.2271 0.4496 0.4704 H
0.2696 0.7529 0.5647 H
0.3491 0.0692 0.3996 H
0.3562 0.8176 0.8494 H
0.6438 0.1824 0.1506 H
0.6509 0.9308 0.6004 H
0.7304 0.2471 0.4353 H
0.7729 0.5504 0.5296 H
0.8508 0.9572 0.9208 H
0.9385 0.6657 0.6038 H
0.9472 0.1268 0.7206 H
0.0430 0.8335 0.1707 O
0.1487 0.4380 0.8476 O
0.1989 0.6524 0.6209 O
0.2046 0.1624 0.0375 O
0.2122 0.3471 0.3928 O
0.3278 0.0961 0.7643 O
0.3543 0.9212 0.3903 O
0.3808 0.6698 0.8790 O
0.4921 0.3860 0.7223 O
0.5079 0.6140 0.2777 O
0.6192 0.3302 0.1210 O
0.6457 0.0788 0.6097 O
0.6722 0.9039 0.2357 O
0.7878 0.6529 0.6072 O
0.7954 0.8376 0.9625 O
0.8011 0.3476 0.3791 O
0.8513 0.5620 0.1524 O
0.9570 0.1665 0.8293 O
```

---

This entry pairs a crystal structure of KEuPSe4 with its calculated powder X-ray diffraction pattern. Radiation: Cu Kα, 1.54184 Å. Structure: a structure optimized by DFT (GGA-PBE).
No peak broadening, texture or thermal motion is included.

Main lines, in order of falling intensity (15 to 90 degrees two-theta):
| 2θ (°) | intensity |
| --- | --- |
| 32.6 | 1000 |
| 27.6 | 523 |
| 37.8 | 480 |
| 33.1 | 456 |
| 28.9 | 441 |
| 32.3 | 426 |
| 51.9 | 351 |
| 28.4 | 347 |
| 29.1 | 337 |
| 25.3 | 315 |

Structure:
```
KEuPSe4
1.0
17.6099 0.0000 0.0000
0.0000 7.0454 0.0000
0.0000 0.0000 6.9394
K Eu P Se
4 4 4 16
direct
0.2135 0.2500 0.0235 K
0.2865 0.7500 0.5235 K
0.7135 0.2500 0.4765 K
0.7865 0.7500 0.9765 K
0.0246 0.7500 0.7106 Eu
0.4754 0.2500 0.2106 Eu
0.5246 0.7500 0.7894 Eu
0.9754 0.2500 0.2894 Eu
0.0966 0.7500 0.2209 P
0.4034 0.2500 0.7209 P
0.5966 0.7500 0.2791 P
0.9034 0.2500 0.7791 P
0.0277 0.2500 0.8525 Se
0.1198 0.0044 0.4069 Se
0.1198 0.4956 0.4069 Se
0.1721 0.7500 0.9637 Se
0.3279 0.2500 0.4637 Se
0.3802 0.5044 0.9069 Se
0.3802 0.9956 0.9069 Se
0.4723 0.7500 0.3525 Se
0.5277 0.2500 0.6475 Se
0.6198 0.0044 0.0931 Se
0.6198 0.4956 0.0931 Se
0.6721 0.7500 0.5363 Se
0.8279 0.2500 0.0363 Se
0.8802 0.5044 0.5931 Se
0.8802 0.9956 0.5931 Se
0.9723 0.7500 0.1475 Se
```

---

This entry pairs a crystal structure of K2VAgSe2 with its calculated powder X-ray diffraction pattern. Radiation: Cu Kα, 1.54184 Å. Structure: a structure optimized by DFT (GGA-PBE).
No peak broadening, texture or thermal motion is included.

Main lines, in order of falling intensity (15 to 90 degrees two-theta):
| 2θ (°) | intensity |
| --- | --- |
| 32.3 | 1000 |
| 29.6 | 561 |
| 37.7 | 559 |
| 57.5 | 451 |
| 24.3 | 343 |
| 40.5 | 341 |
| 43.8 | 341 |
| 34.7 | 334 |
| 21.5 | 329 |
| 38.2 | 256 |

Structure:
```
K2VAgSe2
1.0
0.0000 6.0353 12.4119
4.7664 0.0000 12.4119
4.7664 6.0353 0.0000
K V Ag Se
8 4 4 8
direct
0.1078 0.7029 0.3669 K
0.2971 0.8922 0.6776 K
0.3224 0.3669 0.7029 K
0.3669 0.3224 0.1078 K
0.6331 0.6776 0.8922 K
0.6776 0.6331 0.2971 K
0.7029 0.1078 0.3224 K
0.8922 0.2971 0.6331 K
0.0000 0.5000 0.5000 V
0.5000 0.0000 0.5000 V
0.5000 0.5000 0.0000 V
0.5000 0.5000 0.5000 V
0.0000 0.0000 0.0000 Ag
0.0000 0.0000 0.5000 Ag
0.0000 0.5000 0.0000 Ag
0.5000 0.0000 0.0000 Ag
0.1453 0.2762 0.7548 Se
0.2452 0.6763 0.8547 Se
0.2762 0.1453 0.3237 Se
0.3237 0.7548 0.2762 Se
0.6763 0.2452 0.7238 Se
0.7238 0.8547 0.6763 Se
0.7548 0.3237 0.1453 Se
0.8547 0.7238 0.2452 Se
```